Mn3V4Fe2: computed powder XRD pattern (Cu Ka), based on a cell relaxed with GGA-PBE.

The 4 most intense peaks (2θ = 10–90°), in order of rising 2θ:
- 2θ 35.11, I 1, (0 1 2)
- 2θ 44.68, I 100, (1 1 0)
- 2θ 65.03, I 15, (0 2 3)
- 2θ 82.35, I 28, (3 0 0)

Structure:
```
Mn3V4Fe2
1.0
4.0567 0.0000 0.0000
-2.0283 3.5132 0.0000
0.0000 0.0000 7.4517
Mn V Fe
3 4 2
direct
0.0000 0.0000 0.0000 Mn
0.3333 0.6667 0.5656 Mn
0.6667 0.3333 0.4344 Mn
0.0000 0.0000 0.3352 V
0.0000 0.0000 0.6648 V
0.3333 0.6667 0.8871 V
0.6667 0.3333 0.1129 V
0.3333 0.6667 0.2178 Fe
0.6667 0.3333 0.7822 Fe
```